Starting from a crystal structure in the Materials Project, relaxed with GGA-PBE, the XRD peak list of ZrGa6Fe3Co3 was calculated for Cu Kα X-rays.

The 10 most intense peaks (10 to 90 degrees two-theta), in order of rising 2θ:
| 2θ (°) | intensity |
| --- | --- |
| 35.9 | 43 |
| 36.1 | 45 |
| 36.3 | 43 |
| 41.7 | 34 |
| 41.9 | 35 |
| 42.1 | 100 |
| 42.3 | 61 |
| 43.4 | 67 |
| 47.3 | 56 |
| 47.6 | 52 |

Atomic structure:
Cell lengths 4.978, 6.461, 6.480 Å; angles 80.18, 67.85, 67.89 degrees
Fractional positions:
1 Zr 0.000 0.000 0.000
2 Ga 0.003 0.667 0.337
3 Ga 0.325 0.171 0.176
4 Ga 0.338 0.662 0.656
5 Ga 0.662 0.338 0.344
6 Ga 0.675 0.829 0.824
7 Ga 0.997 0.333 0.663
8 Fe 0.000 0.500 0.000
9 Fe 0.500 0.000 0.500
10 Fe 0.500 0.500 0.000
11 Co 0.000 0.000 0.500
12 Co 0.489 0.248 0.758
13 Co 0.511 0.752 0.242

***

Starting from a crystal structure in the Materials Project, relaxed with GGA-PBE, the XRD peak list of SnH12C2N6Cl6 was calculated for Cu Kα X-rays.

The 10 most intense peaks (10 to 90 degrees two-theta), in order of rising 2θ:
| 2θ (°) | intensity |
| --- | --- |
| 12.1 | 27 |
| 12.3 | 100 |
| 13.1 | 68 |
| 13.2 | 71 |
| 13.7 | 23 |
| 15.6 | 29 |
| 20.6 | 26 |
| 26.8 | 56 |
| 27.5 | 34 |
| 36.7 | 27 |

Atomic structure:
Cell lengths 8.769, 8.769, 15.085 Å; angles 113.58, 113.58, 59.41 degrees
Fractional positions:
1 Sn 0.156 0.844 0.750
2 Sn 0.844 0.156 0.250
3 H 0.010 0.433 0.624
4 H 0.011 0.233 0.623
5 H 0.233 0.011 0.123
6 H 0.238 0.750 0.136
7 H 0.250 0.762 0.364
8 H 0.252 0.290 0.358
9 H 0.287 0.448 0.852
10 H 0.290 0.252 0.858
11 H 0.433 0.010 0.124
12 H 0.441 0.553 0.144
13 H 0.447 0.559 0.356
14 H 0.448 0.287 0.352
15 H 0.552 0.713 0.648
16 H 0.553 0.441 0.644
17 H 0.559 0.447 0.856
18 H 0.567 0.990 0.876
19 H 0.710 0.748 0.142
20 H 0.713 0.552 0.148
21 H 0.748 0.710 0.642
22 H 0.750 0.238 0.636
23 H 0.762 0.250 0.864
24 H 0.767 0.989 0.877
25 H 0.989 0.767 0.377
26 H 0.990 0.567 0.376
27 C 0.230 0.539 0.365
28 C 0.461 0.770 0.135
29 C 0.539 0.230 0.865
30 C 0.770 0.461 0.635
31 N 0.056 0.630 0.372
32 N 0.316 0.627 0.364
33 N 0.318 0.360 0.361
34 N 0.360 0.318 0.861
35 N 0.370 0.944 0.128
36 N 0.373 0.684 0.136
37 N 0.627 0.316 0.864
38 N 0.630 0.056 0.872
39 N 0.640 0.682 0.139
40 N 0.682 0.640 0.639
41 N 0.684 0.373 0.636
42 N 0.944 0.370 0.628
43 Cl 0.071 0.159 0.859
44 Cl 0.071 0.756 0.855
45 Cl 0.159 0.071 0.359
46 Cl 0.244 0.929 0.645
47 Cl 0.245 0.526 0.643
48 Cl 0.474 0.755 0.857
49 Cl 0.526 0.245 0.143
50 Cl 0.755 0.474 0.357
51 Cl 0.756 0.071 0.355
52 Cl 0.841 0.929 0.641
53 Cl 0.929 0.244 0.145
54 Cl 0.929 0.841 0.141

***

Starting from a crystal structure in the Materials Project, relaxed with GGA-PBE, the XRD peak list of Cu9SbAs2S12 was calculated for Cu Kα X-rays.

The 10 most intense peaks (10 to 90 degrees two-theta), in order of rising 2θ:
| 2θ (°) | intensity |
| --- | --- |
| 18.6 | 1 |
| 28.9 | 100 |
| 33.5 | 13 |
| 48.2 | 59 |
| 57.2 | 40 |
| 60.0 | 3 |
| 70.5 | 9 |
| 77.9 | 15 |
| 80.3 | 4 |
| 89.9 | 18 |

Atomic structure:
Cell lengths 16.463, 16.463, 16.463 Å; angles 161.31, 161.31, 26.55 degrees
Fractional positions:
1 Cu 0.000 0.000 0.000
2 Cu 0.086 0.586 0.500
3 Cu 0.250 0.750 0.500
4 Cu 0.333 0.333 0.000
5 Cu 0.414 0.914 0.500
6 Cu 0.586 0.086 0.500
7 Cu 0.667 0.667 0.000
8 Cu 0.750 0.250 0.500
9 Cu 0.914 0.414 0.500
10 Sb 0.500 0.500 0.000
11 As 0.167 0.167 0.000
12 As 0.833 0.833 0.000
13 S 0.040 0.040 0.497
14 S 0.125 0.623 0.000
15 S 0.192 0.192 0.474
16 S 0.282 0.808 0.000
17 S 0.377 0.377 0.502
18 S 0.458 0.960 0.000
19 S 0.542 0.542 0.503
20 S 0.623 0.125 0.000
21 S 0.718 0.718 0.526
22 S 0.808 0.282 0.000
23 S 0.875 0.875 0.498
24 S 0.960 0.458 0.000

***

Starting from a crystal structure in the Materials Project, relaxed with GGA-PBE, the XRD peak list of K2PbBr4O was calculated for Cu Kα X-rays.

The 10 most intense peaks (10 to 90 degrees two-theta), in order of rising 2θ:
| 2θ (°) | intensity |
| --- | --- |
| 12.3 | 100 |
| 12.5 | 41 |
| 23.3 | 85 |
| 27.4 | 38 |
| 29.2 | 43 |
| 29.9 | 36 |
| 31.9 | 79 |
| 39.0 | 31 |
| 39.2 | 43 |
| 45.4 | 29 |

Atomic structure:
Cell lengths 8.332, 14.126, 4.505 Å; angles 90.00, 90.00, 90.00 degrees
Fractional positions:
1 K 0.084 0.172 0.007
2 K 0.416 0.672 0.993
3 K 0.584 0.328 0.993
4 K 0.916 0.828 0.007
5 Pb 0.000 0.500 0.487
6 Pb 0.500 0.000 0.513
7 Br 0.122 0.700 0.500
8 Br 0.242 0.455 0.981
9 Br 0.258 0.955 0.019
10 Br 0.378 0.200 0.500
11 Br 0.622 0.800 0.500
12 Br 0.742 0.045 0.019
13 Br 0.758 0.545 0.981
14 Br 0.878 0.300 0.500
15 O 0.000 0.000 0.334
16 O 0.500 0.500 0.666

***

Starting from a crystal structure in the Materials Project, relaxed with GGA-PBE, the XRD peak list of Te3Ru4N2 was calculated for Cu Kα X-rays.

The 10 most intense peaks (10 to 90 degrees two-theta), in order of rising 2θ:
| 2θ (°) | intensity |
| --- | --- |
| 25.9 | 46 |
| 30.6 | 24 |
| 32.2 | 27 |
| 32.5 | 43 |
| 33.5 | 22 |
| 33.7 | 59 |
| 34.1 | 100 |
| 44.1 | 28 |
| 44.3 | 23 |
| 45.1 | 59 |

Atomic structure:
Cell lengths 6.406, 11.139, 9.165 Å; angles 90.00, 90.00, 90.00 degrees
Fractional positions:
1 Te 0.058 0.078 0.179
2 Te 0.058 0.422 0.179
3 Te 0.146 0.250 0.840
4 Te 0.354 0.750 0.340
5 Te 0.442 0.578 0.679
6 Te 0.442 0.922 0.679
7 Te 0.558 0.078 0.321
8 Te 0.558 0.422 0.321
9 Te 0.646 0.250 0.660
10 Te 0.854 0.750 0.160
11 Te 0.942 0.578 0.821
12 Te 0.942 0.922 0.821
13 Ru 0.110 0.750 0.592
14 Ru 0.183 0.532 0.435
15 Ru 0.183 0.968 0.435
16 Ru 0.246 0.250 0.564
17 Ru 0.254 0.750 0.064
18 Ru 0.317 0.032 0.935
19 Ru 0.317 0.468 0.935
20 Ru 0.390 0.250 0.092
21 Ru 0.610 0.750 0.908
22 Ru 0.683 0.532 0.065
23 Ru 0.683 0.968 0.065
24 Ru 0.746 0.250 0.936
25 Ru 0.754 0.750 0.436
26 Ru 0.817 0.032 0.565
27 Ru 0.817 0.468 0.565
28 Ru 0.890 0.250 0.408
29 N 0.073 0.122 0.505
30 N 0.073 0.378 0.505
31 N 0.427 0.622 0.005
32 N 0.427 0.878 0.005
33 N 0.573 0.122 0.995
34 N 0.573 0.378 0.995
35 N 0.927 0.622 0.495
36 N 0.927 0.878 0.495

***

Starting from a crystal structure in the Materials Project, relaxed with GGA-PBE, the XRD peak list of SmNiC2 was calculated for Cu Kα X-rays.

The 10 most intense peaks (10 to 90 degrees two-theta), in order of rising 2θ:
| 2θ (°) | intensity |
| --- | --- |
| 24.5 | 28 |
| 29.4 | 20 |
| 34.4 | 100 |
| 38.1 | 24 |
| 39.7 | 17 |
| 48.6 | 12 |
| 49.3 | 17 |
| 50.2 | 13 |
| 56.3 | 13 |
| 68.7 | 12 |

Atomic structure:
Cell lengths 3.749, 4.536, 6.075 Å; angles 90.00, 90.00, 90.00 degrees
Fractional positions:
1 Sm 0.000 0.000 0.000
2 Sm 0.000 0.500 0.500
3 Ni 0.500 0.000 0.613
4 Ni 0.500 0.500 0.113
5 C 0.500 0.151 0.301
6 C 0.500 0.349 0.801
7 C 0.500 0.651 0.801
8 C 0.500 0.849 0.301

***

Q: Number 1 is which compound?
A: ZrGa6Fe3Co3